Starting from a GGA-PBE-relaxed structure, the powder diffractogram of Ac2MgScAg6 was computed for copper Kα.
Neutral-atom scattering factors, no anomalous dispersion.

Cell: 7.2561 7.2561 9.4539 Å, 129.97 129.97 47.02°
Atoms (fractional coordinates):
Ac1 0.0351 0.0351 0.2906
Ac2 0.9649 0.9649 0.7094
Mg1 0.5000 0.5000 0.5000
Sc1 0.5000 0.5000 0.0000
Ag1 0.0022 0.5005 0.2514
Ag2 0.3352 0.3352 0.0871
Ag3 0.4995 0.9978 0.7486
Ag4 0.5005 0.0022 0.2514
Ag5 0.6648 0.6648 0.9129
Ag6 0.9978 0.4995 0.7486

Top 10 peaks for 10° ≤ 2θ ≤ 80°, sorted by position:
d_spacing, 2theta, I (rel.)
4.943, 17.9, 18
3.432, 26.0, 44
3.407, 26.2, 37
3.373, 26.4, 29
3.327, 26.8, 29
2.777, 32.2, 20
2.470, 36.4, 100
2.406, 37.4, 29
2.381, 37.8, 29
2.363, 38.1, 35